Record 1
Starting from a crystal structure in Alexandria, relaxed with GGA-PBE, the powder diffractogram of Y2As was simulated for Cu Ka.
Neutral-atom scattering factors, no anomalous dispersion.

Largest 10 diffraction maxima, in order of falling intensity, 10° ≤ 2θ ≤ 80°:
- d 2.912, 30.70 deg, intensity 100
- d 2.366, 38.02 deg, intensity 66
- d 2.742, 32.66 deg, intensity 55
- d 2.625, 34.16 deg, intensity 40
- d 1.982, 45.78 deg, intensity 23
- d 1.606, 57.36 deg, intensity 21
- d 2.023, 44.79 deg, intensity 20
- d 1.759, 51.99 deg, intensity 17
- d 2.207, 40.90 deg, intensity 15
- d 1.416, 65.98 deg, intensity 12

Cell: 6.738 6.738 6.060 Å, 90.05 90.05 34.22°
Atoms (fractional coordinates):
Y 0.000 0.000 0.000
Y 0.000 0.000 0.500
Y 0.293 0.293 0.750
Y 0.707 0.707 0.250
As 0.369 0.369 0.250
As 0.631 0.631 0.750

---

Record 2
Starting from a crystal structure in Alexandria, relaxed with GGA-PBE, the powder diffractogram of Dy2MgPt9 was simulated for Cu Ka.
Neutral-atom scattering factors, no anomalous dispersion.

Largest 10 diffraction maxima, in order of falling intensity, 10° ≤ 2θ ≤ 80°:
- d 2.349, 38.32 deg, intensity 100
- d 2.039, 44.43 deg, intensity 34
- d 1.229, 77.71 deg, intensity 26
- d 1.437, 64.91 deg, intensity 21
- d 2.024, 44.77 deg, intensity 15
- d 1.222, 78.20 deg, intensity 11
- d 1.442, 64.64 deg, intensity 11
- d 4.078, 21.79 deg, intensity 3
- d 2.873, 31.13 deg, intensity 2
- d 2.605, 34.43 deg, intensity 2

Cell: 4.078 4.078 12.146 Å, 90.00 90.00 90.00°
Atoms (fractional coordinates):
Dy 0.000 0.000 0.172
Dy 0.000 0.000 0.828
Mg 0.000 0.000 0.500
Pt 0.000 0.500 0.000
Pt 0.000 0.500 0.343
Pt 0.000 0.500 0.657
Pt 0.500 0.000 0.000
Pt 0.500 0.000 0.343
Pt 0.500 0.000 0.657
Pt 0.500 0.500 0.171
Pt 0.500 0.500 0.500
Pt 0.500 0.500 0.829

---

Record 3
Starting from a crystal structure in Alexandria, relaxed with GGA-PBE, the powder diffractogram of BaAcPPd was simulated for Cu Ka.
Neutral-atom scattering factors, no anomalous dispersion.

Largest 10 diffraction maxima, in order of falling intensity, 10° ≤ 2θ ≤ 80°:
- d 2.712, 33.02 deg, intensity 100
- d 1.566, 58.98 deg, intensity 38
- d 3.836, 23.19 deg, intensity 22
- d 1.918, 47.40 deg, intensity 18
- d 1.213, 78.92 deg, intensity 17
- d 4.429, 20.05 deg, intensity 13
- d 1.356, 69.28 deg, intensity 12
- d 1.716, 53.41 deg, intensity 10
- d 2.313, 38.94 deg, intensity 8
- d 2.215, 40.74 deg, intensity 7

Cell: 5.425 5.425 5.425 Å, 60.00 60.00 60.00°
Atoms (fractional coordinates):
Ba 0.000 0.000 0.000
Ac 0.500 0.500 0.500
P 0.750 0.750 0.750
Pd 0.250 0.250 0.250

---

Record 4
Starting from a crystal structure in Alexandria, relaxed with GGA-PBE, the powder diffractogram of PrSnSb2 was simulated for Cu Ka.
Neutral-atom scattering factors, no anomalous dispersion.

Largest 10 diffraction maxima, in order of falling intensity, 10° ≤ 2θ ≤ 80°:
- d 2.741, 32.67 deg, intensity 100
- d 1.582, 58.31 deg, intensity 29
- d 3.166, 28.18 deg, intensity 11
- d 1.940, 46.83 deg, intensity 9
- d 1.370, 68.46 deg, intensity 8
- d 1.935, 46.96 deg, intensity 7
- d 1.829, 49.87 deg, intensity 7
- d 1.521, 60.91 deg, intensity 6
- d 1.224, 78.06 deg, intensity 6
- d 2.072, 43.69 deg, intensity 5

Cell: 6.714 6.714 6.714 Å, 109.40 109.40 109.61°
Atoms (fractional coordinates):
Pr 0.250 0.250 0.000
Pr 0.750 0.750 0.000
Sn 0.250 0.750 0.500
Sn 0.750 0.250 0.500
Sb 0.212 0.712 0.924
Sb 0.288 0.212 0.500
Sb 0.712 0.788 0.500
Sb 0.788 0.288 0.076

---

Question: Number 4 is which compound?
Answer: PrSnSb2